Computed powder diffractogram of Ca4Al5FeSi6H2O26 for a wavelength of 1.5418 Å, from the PBE+U geometry in Alexandria.

Cell and atoms:
```
Ca4Al5FeSi6H2O26
1.0
8.984 0.000 0.000
0.000 5.676 0.000
-4.396 0.000 9.253
Ca Al Fe Si H O
4 5 1 6 2 26
Cartesian
0.000 0.000 0.000
-1.912 0.000 6.719
3.805 2.838 3.885
6.328 2.838 1.407
-0.635 0.000 3.230
0.939 1.417 5.314
0.939 4.259 5.314
3.178 1.414 0.708
3.178 4.262 0.708
2.607 2.838 7.383
-1.874 2.838 4.872
-3.074 2.838 7.883
0.709 2.838 2.399
1.203 0.000 8.265
5.076 0.000 2.799
3.784 0.000 5.769
1.908 0.000 2.352
0.017 2.838 8.316
-2.782 2.838 6.260
-0.184 1.491 2.082
-0.184 4.185 2.082
-0.964 1.439 4.910
-0.964 4.237 4.910
-2.382 1.486 8.493
-2.382 4.190 8.493
2.138 0.000 1.392
2.174 2.838 1.597
1.005 0.000 4.103
1.233 2.838 3.997
0.686 0.000 6.662
0.823 2.838 6.520
-0.243 0.000 9.074
4.207 2.838 0.029
4.373 1.337 2.155
4.373 4.339 2.155
2.858 1.386 5.692
2.858 4.290 5.692
2.116 1.315 8.630
2.116 4.361 8.630
4.720 0.000 4.409
6.085 2.838 3.661
6.670 0.000 2.591
4.781 0.000 7.004
4.330 2.838 8.197
```

Peak list (8 most intense, 5 to 70 degrees two-theta, low angle first)
- (1 0 -2), 2θ = 17.5°, d = 5.061 Å, I = 28
- (2 1 -1), 2θ = 25.3°, d = 3.522 Å, I = 32
- (1 1 -3), 2θ = 30.6°, d = 2.923 Å, I = 100
- (0 2 0), 2θ = 31.5°, d = 2.838 Å, I = 41
- (0 1 3), 2θ = 33.1°, d = 2.710 Å, I = 32
- (3 1 -1), 2θ = 34.2°, d = 2.625 Å, I = 43
- (3 1 -3), 2θ = 37.1°, d = 2.426 Å, I = 32
- (0 4 0), 2θ = 65.8°, d = 1.419 Å, I = 26